Computed powder X-ray diffraction pattern
Compound: Cd2GaPb
Radiation: copper Kα
Structure: a structure optimized by DFT (GGA-PBE)
Intensities are scaled so that the largest is 100.

Structure:
```
data_Cd2GaPb
_symmetry_space_group_name_H-M 'P 1'
_symmetry_Int_Tables_number 1
_symmetry_space_group_name_Hall 'P 1'
_cell_length_a 11.5145
_cell_length_b 11.5145
_cell_length_c 11.5145
_cell_angle_alpha 158.44
_cell_angle_beta 158.44
_cell_angle_gamma 30.67
loop_
_atom_site_label
_atom_site_type_symbol
_atom_site_fract_x
_atom_site_fract_y
_atom_site_fract_z
Cd1 Cd 0.1140 0.6250 0.9890
Cd2 Cd 0.3750 0.3640 0.4890
Cd3 Cd 0.6360 0.1250 0.0110
Cd4 Cd 0.8750 0.8860 0.5110
Ga1 Ga 0.0000 0.0000 0.0000
Ga2 Ga 0.7500 0.2500 0.5000
Pb1 Pb 0.2500 0.7500 0.5000
Pb2 Pb 0.5000 0.5000 0.0000
```

Peak list (10 most intense, 10 to 90 degrees two-theta, by intensity)
| 2θ (°) | I (rel.) |
| --- | --- |
| 30.4 | 100.0 |
| 45.2 | 66.7 |
| 38.3 | 54.2 |
| 32.2 | 42.7 |
| 50.9 | 23.7 |
| 66.6 | 20.5 |
| 69.5 | 18.2 |
| 70.5 | 17.3 |
| 74.2 | 16.2 |
| 23.9 | 13.8 |